(1)
Calculated X-ray diffraction stick pattern of KFeP4H4O14 for Cu Ka, from a cell relaxed with GGA+U.
Peak positions follow from Bragg's law for the DFT cell and can differ from measured ones.

Structural model:
```
data_KFeP4H4O14
_chemical_formula_sum 'K1 Fe1 P4 H4 O14'
_symmetry_space_group_name_H-M 'P -1'
_symmetry_Int_Tables_number 2
_symmetry_space_group_name_Hall '-P 1'
_cell_length_a 5.143
_cell_length_b 7.708
_cell_length_c 8.013
_cell_angle_alpha 80.94
_cell_angle_beta 82.04
_cell_angle_gamma 72.28
loop_
_atom_site_label
_atom_site_type_symbol
_atom_site_fract_x
_atom_site_fract_y
_atom_site_fract_z
K1 K 0.000 0.000 0.000
Fe1 Fe 0.000 0.500 0.000
P1 P 0.317 0.228 0.318
P2 P 0.399 0.599 0.234
H1 H 0.104 0.774 0.422
H2 H 0.316 0.002 0.617
O1 O 0.171 0.268 0.157
O2 O 0.174 0.158 0.481
O3 O 0.225 0.634 0.085
O4 O 0.288 0.757 0.348
O5 O 0.300 0.418 0.816
O6 O 0.364 0.417 0.353
O7 O 0.390 0.908 0.719
```

Top 6 peaks for 2θ = 10–90°, sorted by position:
(hkl)	Position (°2θ)	d/Å	I/Imax
0 1 0	12.14	7.287	59
0 1 1	15.52	5.708	36
1 0 -1	22.35	3.978	100
1 2 1	26.36	3.382	72
1 0 2	27.71	3.219	67
0 2 -1	28.21	3.163	54

(2)
Calculated X-ray diffraction stick pattern of KFeH2S2O9 for Cu Ka, from a cell relaxed with GGA+U.
Peak positions follow from Bragg's law for the DFT cell and can differ from measured ones.

Structural model:
```
data_KFeH2S2O9
_chemical_formula_sum 'K2 Fe2 H4 S4 O18'
_symmetry_space_group_name_H-M 'P 1 21/m 1'
_symmetry_Int_Tables_number 11
_symmetry_space_group_name_Hall '-P 2yb'
_cell_length_a 8.112
_cell_length_b 5.176
_cell_length_c 9.485
_cell_angle_alpha 90.00
_cell_angle_beta 103.70
_cell_angle_gamma 90.00
loop_
_atom_site_label
_atom_site_type_symbol
_atom_site_fract_x
_atom_site_fract_y
_atom_site_fract_z
K1 K 0.077 0.250 0.217
Fe1 Fe 0.411 0.750 0.779
H1 H 0.325 0.594 0.514
S1 S 0.164 0.250 0.659
S2 S 0.343 0.750 0.112
O1 O 0.021 0.750 0.373
O2 O 0.159 0.750 0.062
O3 O 0.227 0.016 0.753
O4 O 0.238 0.250 0.530
O5 O 0.389 0.750 0.557
O6 O 0.399 0.515 0.205
O7 O 0.433 0.750 0.992
```

Top 6 peaks for 2θ = 10–90°, sorted by position:
(hkl)	Position (°2θ)	d/Å	I/Imax
1 0 -1	12.94	6.843	69
0 0 2	19.26	4.607	53
1 1 1	23.83	3.734	58
2 1 0	28.47	3.135	100
0 1 3	33.94	2.642	38
0 2 0	34.66	2.588	35